# 1
Simulated powder diffractogram
Compound: Cu3NiAu2
Radiation: Cu Kα
Structure: a cell relaxed with GGA-PBE
Intensities are scaled so that the largest is 100.

Principal peaks in the range 2θ = 10–80°, in order of rising 2θ:
| two_theta | Rel. int. |
| --- | --- |
| 12.4 | 11 |
| 25.0 | 14 |
| 32.1 | 14 |
| 41.1 | 100 |
| 45.9 | 18 |
| 46.1 | 18 |
| 51.3 | 12 |
| 67.1 | 11 |
| 71.2 | 9 |
| 71.4 | 9 |

Cell and atoms:
```
Cu3NiAu2
1.0
1.967 -5.931 0.000
1.967 5.931 0.000
0.000 0.000 7.130
Cu Ni Au
6 2 4
direct
0.000 0.000 0.238
0.000 0.000 0.762
0.327 0.673 0.229
0.327 0.673 0.771
0.673 0.327 0.229
0.673 0.327 0.771
0.169 0.831 0.000
0.831 0.169 0.000
0.166 0.834 0.500
0.500 0.500 0.000
0.500 0.500 0.500
0.834 0.166 0.500
```


# 2
Simulated powder diffractogram
Compound: ThCuNiAu
Radiation: Cu Kα
Structure: a cell relaxed with GGA-PBE
Intensities are scaled so that the largest is 100.

Principal peaks in the range 2θ = 10–80°, in order of rising 2θ:
| two_theta | Rel. int. |
| --- | --- |
| 26.8 | 33 |
| 38.2 | 100 |
| 47.3 | 10 |
| 55.1 | 17 |
| 62.3 | 14 |
| 69.1 | 35 |

Cell and atoms:
```
ThCuNiAu
1.0
6.662 0.000 0.000
0.000 6.662 0.000
0.000 0.000 6.662
Th Cu Ni Au
4 4 4 4
direct
0.000 0.000 0.000
0.000 0.500 0.500
0.500 0.000 0.500
0.500 0.500 0.000
0.250 0.250 0.250
0.250 0.750 0.750
0.750 0.250 0.750
0.750 0.750 0.250
0.250 0.250 0.750
0.250 0.750 0.250
0.750 0.250 0.250
0.750 0.750 0.750
0.000 0.000 0.500
0.000 0.500 0.000
0.500 0.000 0.000
0.500 0.500 0.500
```


# 3
Simulated powder diffractogram
Compound: NpCu4Au8
Radiation: Cu Kα
Structure: a cell relaxed with GGA-PBE
Intensities are scaled so that the largest is 100.

Principal peaks in the range 2θ = 10–80°, in order of rising 2θ:
| two_theta | Rel. int. |
| --- | --- |
| 27.4 | 14 |
| 33.7 | 54 |
| 39.1 | 100 |
| 44.0 | 44 |
| 52.6 | 11 |
| 60.3 | 10 |
| 63.9 | 18 |
| 67.5 | 10 |
| 70.8 | 5 |
| 70.9 | 31 |

Cell and atoms:
```
NpCu4Au8
1.0
-4.601 4.601 2.661
4.601 -4.601 2.661
4.601 4.601 -2.661
Np Cu Au
1 4 8
direct
0.000 0.000 0.000
0.000 0.000 0.500
0.000 0.500 0.000
0.500 0.000 0.000
0.500 0.500 0.500
0.000 0.338 0.338
0.000 0.662 0.662
0.281 0.500 0.781
0.338 0.000 0.338
0.500 0.281 0.781
0.500 0.719 0.219
0.662 0.000 0.662
0.719 0.500 0.219
```


# 4
Simulated powder diffractogram
Compound: NpCu2Au9
Radiation: Cu Kα
Structure: a cell relaxed with GGA-PBE
Intensities are scaled so that the largest is 100.

Principal peaks in the range 2θ = 10–80°, in order of rising 2θ:
| two_theta | Rel. int. |
| --- | --- |
| 31.4 | 14 |
| 35.5 | 100 |
| 35.9 | 60 |
| 38.3 | 23 |
| 40.8 | 13 |
| 41.7 | 17 |
| 42.3 | 70 |
| 44.0 | 16 |
| 64.2 | 28 |
| 71.8 | 15 |

Cell and atoms:
```
NpCu2Au9
1.0
-5.599 5.599 3.608
5.599 -5.599 3.608
5.599 5.599 -3.608
Np Cu Au
2 4 18
direct
0.375 0.625 0.750
0.625 0.375 0.250
0.000 0.000 0.000
0.000 0.000 0.500
0.000 0.500 0.000
0.500 0.000 0.500
0.124 0.557 0.325
0.124 0.799 0.567
0.125 0.875 0.250
0.201 0.268 0.325
0.201 0.876 0.933
0.268 0.201 0.825
0.268 0.443 0.067
0.443 0.268 0.567
0.443 0.876 0.175
0.557 0.124 0.825
0.557 0.732 0.433
0.732 0.557 0.933
0.732 0.799 0.175
0.799 0.124 0.067
0.799 0.732 0.675
0.875 0.125 0.750
0.876 0.201 0.433
0.876 0.443 0.675
```


# 5
Simulated powder diffractogram
Compound: Cu5AuO8
Radiation: Cu Kα
Structure: a cell relaxed with GGA-PBE
Intensities are scaled so that the largest is 100.

Principal peaks in the range 2θ = 10–80°, in order of rising 2θ:
| two_theta | Rel. int. |
| --- | --- |
| 18.1 | 12 |
| 20.9 | 12 |
| 29.7 | 51 |
| 35.0 | 100 |
| 36.6 | 10 |
| 52.8 | 19 |
| 56.3 | 37 |
| 61.8 | 33 |
| 70.0 | 8 |
| 73.0 | 12 |

Cell and atoms:
```
Cu5AuO8
1.0
0.000 4.248 4.248
4.248 0.000 4.248
4.248 4.248 0.000
Cu Au O
5 1 8
direct
0.000 0.000 0.000
0.374 0.374 0.374
0.374 0.374 0.879
0.374 0.879 0.374
0.879 0.374 0.374
0.750 0.750 0.750
0.135 0.135 0.135
0.135 0.135 0.595
0.135 0.595 0.135
0.178 0.607 0.607
0.595 0.135 0.135
0.607 0.178 0.607
0.607 0.607 0.178
0.607 0.607 0.607
```


# 6
Simulated powder diffractogram
Compound: Cu2Au3O6
Radiation: Cu Kα
Structure: a cell relaxed with GGA-PBE
Intensities are scaled so that the largest is 100.

Principal peaks in the range 2θ = 10–80°, in order of rising 2θ:
| two_theta | Rel. int. |
| --- | --- |
| 14.6 | 69 |
| 29.5 | 40 |
| 35.5 | 100 |
| 37.9 | 46 |
| 41.5 | 40 |
| 51.7 | 22 |
| 58.0 | 12 |
| 62.2 | 20 |
| 64.8 | 12 |
| 70.3 | 18 |

Cell and atoms:
```
Cu2Au3O6
1.0
4.471 -2.586 0.000
4.471 2.586 0.000
-3.009 0.000 12.105
Cu Au O
4 6 12
direct
0.167 0.667 0.000
0.333 0.833 0.500
0.667 0.167 0.500
0.833 0.333 0.000
0.078 0.922 0.750
0.250 0.422 0.250
0.422 0.250 0.750
0.578 0.750 0.250
0.750 0.578 0.750
0.922 0.078 0.250
0.030 0.890 0.585
0.110 0.970 0.915
0.166 0.389 0.085
0.334 0.469 0.415
0.389 0.166 0.585
0.469 0.334 0.915
0.531 0.666 0.085
0.611 0.834 0.415
0.666 0.531 0.585
0.834 0.611 0.915
0.890 0.030 0.085
0.970 0.110 0.415
```


# 7
Simulated powder diffractogram
Compound: CuAuO
Radiation: Cu Kα
Structure: a cell relaxed with GGA-PBE
Intensities are scaled so that the largest is 100.

Principal peaks in the range 2θ = 10–80°, in order of rising 2θ:
| two_theta | Rel. int. |
| --- | --- |
| 13.3 | 49 |
| 36.4 | 100 |
| 38.3 | 53 |
| 39.0 | 24 |
| 48.0 | 14 |
| 49.5 | 23 |
| 55.3 | 16 |
| 64.3 | 22 |
| 68.1 | 27 |
| 77.4 | 12 |

Cell and atoms:
```
CuAuO
1.0
6.639 0.000 0.000
0.000 6.639 0.000
0.000 0.000 3.681
Cu Au O
4 4 4
direct
0.000 0.280 0.000
0.000 0.720 0.000
0.280 0.000 0.500
0.720 0.000 0.500
0.273 0.500 0.500
0.500 0.273 0.000
0.500 0.727 0.000
0.727 0.500 0.500
0.000 0.244 0.500
0.000 0.756 0.500
0.244 0.000 0.000
0.756 0.000 0.000
```


# 8
Simulated powder diffractogram
Compound: CuPbAuO4
Radiation: Cu Kα
Structure: a cell relaxed with GGA-PBE
Intensities are scaled so that the largest is 100.

Principal peaks in the range 2θ = 10–80°, in order of rising 2θ:
| two_theta | Rel. int. |
| --- | --- |
| 16.2 | 80 |
| 16.7 | 100 |
| 29.7 | 66 |
| 30.0 | 64 |
| 32.3 | 96 |
| 32.7 | 96 |
| 33.2 | 81 |
| 33.9 | 73 |
| 40.2 | 68 |
| 54.5 | 92 |

Cell and atoms:
```
CuPbAuO4
1.0
-3.098 3.248 5.092
3.098 -3.248 5.092
3.098 3.248 -5.092
Cu Pb Au O
2 2 2 8
direct
0.392 0.142 0.250
0.608 0.858 0.750
0.000 0.500 0.500
0.500 0.500 0.000
0.000 0.000 0.500
0.000 0.500 0.000
0.205 0.740 0.465
0.225 0.260 0.965
0.288 0.298 0.510
0.288 0.779 0.990
0.712 0.221 0.010
0.712 0.702 0.490
0.775 0.740 0.035
0.795 0.260 0.535
```


# 9
Simulated powder diffractogram
Compound: TmCuAuO4
Radiation: Cu Kα
Structure: a cell relaxed with GGA-PBE
Intensities are scaled so that the largest is 100.

Principal peaks in the range 2θ = 10–80°, in order of rising 2θ:
| two_theta | Rel. int. |
| --- | --- |
| 15.3 | 94 |
| 16.6 | 35 |
| 28.4 | 59 |
| 30.8 | 100 |
| 32.8 | 40 |
| 33.5 | 59 |
| 33.9 | 39 |
| 39.0 | 37 |
| 52.6 | 39 |
| 64.1 | 22 |

Cell and atoms:
```
TmCuAuO4
1.0
-3.097 3.462 5.293
3.097 -3.462 5.293
3.097 3.462 -5.293
Tm Cu Au O
2 2 2 8
direct
0.000 0.000 0.000
0.500 0.000 0.500
0.307 0.557 0.750
0.693 0.443 0.250
0.000 0.000 0.500
0.000 0.500 0.000
0.150 0.213 0.937
0.224 0.787 0.437
0.283 0.253 0.470
0.283 0.813 0.030
0.717 0.187 0.970
0.717 0.747 0.530
0.776 0.213 0.563
0.850 0.787 0.063
```


# 10
Simulated powder diffractogram
Compound: CuPAu2Se4
Radiation: Cu Kα
Structure: a cell relaxed with GGA-PBE
Intensities are scaled so that the largest is 100.

Principal peaks in the range 2θ = 10–80°, in order of rising 2θ:
| two_theta | Rel. int. |
| --- | --- |
| 17.1 | 23 |
| 26.8 | 100 |
| 28.6 | 15 |
| 35.1 | 20 |
| 43.5 | 24 |
| 45.1 | 45 |
| 51.9 | 30 |
| 54.6 | 14 |
| 63.2 | 7 |
| 72.3 | 11 |

Cell and atoms:
```
CuPAu2Se4
1.0
5.882 0.000 0.000
0.003 5.887 0.000
2.940 2.940 5.510
Cu P Au Se
1 1 2 4
direct
0.000 0.000 0.000
0.248 0.747 0.504
0.494 0.493 0.012
0.747 0.246 0.506
0.129 0.659 0.258
0.338 0.386 0.750
0.611 0.081 0.259
0.911 0.862 0.750
```


# 11
Simulated powder diffractogram
Compound: PaCuAu2
Radiation: Cu Kα
Structure: a cell relaxed with GGA-PBE
Intensities are scaled so that the largest is 100.

Principal peaks in the range 2θ = 10–80°, in order of rising 2θ:
| two_theta | Rel. int. |
| --- | --- |
| 26.0 | 17 |
| 33.6 | 100 |
| 34.6 | 35 |
| 36.7 | 53 |
| 38.4 | 19 |
| 41.0 | 38 |
| 42.6 | 18 |
| 43.0 | 35 |
| 60.9 | 24 |
| 64.4 | 19 |

Cell and atoms:
```
PaCuAu2
1.0
4.210 0.000 0.000
0.000 9.877 0.000
0.000 0.000 7.376
Pa Cu Au
4 4 8
direct
0.000 0.069 0.250
0.000 0.931 0.750
0.500 0.431 0.750
0.500 0.569 0.250
0.000 0.221 0.750
0.000 0.779 0.250
0.500 0.279 0.250
0.500 0.721 0.750
0.000 0.362 0.053
0.000 0.362 0.447
0.000 0.638 0.553
0.000 0.638 0.947
0.500 0.138 0.553
0.500 0.138 0.947
0.500 0.862 0.053
0.500 0.862 0.447
```


# 12
Simulated powder diffractogram
Compound: CuPb2Au
Radiation: Cu Kα
Structure: a cell relaxed with GGA-PBE
Intensities are scaled so that the largest is 100.

Principal peaks in the range 2θ = 10–80°, in order of rising 2θ:
| two_theta | Rel. int. |
| --- | --- |
| 31.6 | 96 |
| 31.8 | 96 |
| 32.9 | 82 |
| 33.4 | 40 |
| 39.4 | 100 |
| 39.8 | 43 |
| 42.9 | 46 |
| 44.8 | 41 |
| 55.1 | 55 |
| 63.8 | 43 |

Cell and atoms:
```
CuPb2Au
1.0
4.047 0.000 0.000
0.000 4.216 0.000
-1.943 0.000 5.443
Cu Pb Au
1 2 1
direct
0.000 0.000 0.000
0.268 0.000 0.538
0.558 0.500 0.123
0.845 0.500 0.692
```


# 13
Simulated powder diffractogram
Compound: Cu3Pd5Au3
Radiation: Cu Kα
Structure: a cell relaxed with GGA-PBE
Intensities are scaled so that the largest is 100.

Principal peaks in the range 2θ = 10–80°, in order of rising 2θ:
| two_theta | Rel. int. |
| --- | --- |
| 20.2 | 25 |
| 23.4 | 16 |
| 31.2 | 22 |
| 35.5 | 72 |
| 38.8 | 100 |
| 40.6 | 28 |
| 42.9 | 67 |
| 45.8 | 33 |
| 53.5 | 36 |
| 63.3 | 25 |

Cell and atoms:
```
Cu3Pd5Au3
1.0
8.771 0.000 0.000
-4.385 7.596 0.000
0.000 0.000 2.738
Cu Pd Au
3 5 3
direct
0.000 0.844 0.000
0.156 0.156 0.000
0.844 0.000 0.000
0.000 0.331 0.000
0.331 0.000 0.000
0.333 0.667 0.000
0.667 0.333 0.000
0.669 0.669 0.000
0.000 0.600 0.500
0.400 0.400 0.500
0.600 0.000 0.500
```